For Li6Ga, a structure optimized by DFT (GGA-PBE) gives the calculated PXRD pattern in this record (Cu Ka).
Intensities are scaled so that the largest is 1000.

Atomic structure:
```
Li6Ga
1.0
4.1422 -3.5981 0.0000
4.1422 3.5981 0.0000
0.0000 0.0000 8.8838
Li Ga
12 2
Direct
0.0106 0.6235 0.2500
0.1783 0.8217 0.5842
0.1783 0.8217 0.9158
0.3208 0.3208 0.0000
0.3208 0.3208 0.5000
0.3765 0.9894 0.2500
0.6235 0.0106 0.7500
0.6792 0.6792 0.0000
0.6792 0.6792 0.5000
0.8217 0.1783 0.0842
0.8217 0.1783 0.4158
0.9894 0.3765 0.7500
0.4994 0.5006 0.2500
0.5006 0.4994 0.7500
```

Peak list (10 most intense, 2θ from 5° to 70°, by angle)
16.32°, d 5.433, I 1000
19.99°, d 4.442, I 281
21.45°, d 4.142, I 253
24.74°, d 3.598, I 175
25.91°, d 3.439, I 627
29.49°, d 3.029, I 215
38.86°, d 2.317, I 341
39.09°, d 2.304, I 181
40.45°, d 2.230, I 310
44.05°, d 2.056, I 190